(1)
This entry pairs a crystal structure of Pu7CdPt4 with its theoretical X-ray powder pattern. Radiation: CuKα. Structure: a structure optimized by DFT (GGA-PBE).

Principal peaks in the range 10 to 90 degrees two-theta, low angle first:
h k l, 2theta, intensity
4 0 0, 31.59, 75
0 2 0, 31.98, 100
1 1 -3, 34.13, 42
3 1 -3, 37.42, 35
4 0 -3, 38.05, 67
4 2 0, 45.56, 56

Cell and atoms:
abc: 11.7876 5.5975 8.9292
angles: 90.00 106.01 90.00
Space group C2/m (No. 12)
One atom of each set of equivalent atoms:
Pu  0.0000  0.0000  0.0000 [2 per cell]
Pu  0.0359  0.5000  0.6774 [4 per cell]
Pu  0.2287  0.0000  0.9098 [4 per cell]
Pu  0.2367  0.0000  0.5958 [4 per cell]
Cd  0.0000  0.5000  0.0000 [2 per cell]
Pt  0.0066  0.0000  0.3425 [4 per cell]
Pt  0.2213  0.0000  0.2447 [4 per cell]

(2)
This entry pairs a crystal structure of Rb2Cd5Pt2 with its theoretical X-ray powder pattern. Radiation: CuKα. Structure: a structure optimized by DFT (GGA-PBE).

Principal peaks in the range 10 to 90 degrees two-theta, low angle first:
h k l, 2theta, intensity
0 0 2, 16.10, 71
1 0 0, 16.70, 45
1 0 2, 23.28, 77
0 0 4, 32.53, 54
2 0 0, 33.78, 100
2 0 4, 47.60, 74

Cell and atoms:
abc: 5.3075 5.3075 11.0093
angles: 90.00 90.00 90.00
Space group P4/mmm (No. 123)
One atom of each set of equivalent atoms:
Rb  0.0000  0.0000  0.0000 [1 per cell]
Rb  0.0000  0.0000  0.5000 [1 per cell]
Cd  0.0000  0.5000  0.2474 [4 per cell]
Cd  0.5000  0.5000  0.0000 [1 per cell]
Pt  0.5000  0.5000  0.2404 [2 per cell]